Structure and simulated XRD peak list of Be2Nb2As3P (a crystal structure in OQMD, relaxed with PBE; Cu Kα (weighted mean of Kα1 and Kα2)).

Most intense lines, 2θ from 5° to 70°, by angle:
2θ (°)	d/Å	intensity
18.00	4.928	50
28.16	3.169	100
28.45	3.138	85
36.80	2.443	38
45.62	1.989	43
47.35	1.920	20
47.82	1.902	40
54.72	1.677	28

Structure:
Cell lengths 6.494, 6.494, 5.637 Å; angles 114.98, 114.98, 51.22 degrees
Atoms (fractional coordinates):
Be  0.120  0.120  0.360
Be  0.880  0.880  0.640
Nb  0.364  0.395  0.122
Nb  0.605  0.636  0.878
As  0.489  0.010  0.712
As  0.778  0.222  0.500
As  0.990  0.511  0.288
P  0.200  0.800  0.000

=====

Structure and simulated XRD peak list of SmBeAsO (a crystal structure in OQMD, relaxed with PBE; Cu Kα (weighted mean of Kα1 and Kα2)).

Most intense lines, 2θ from 5° to 70°, by angle:
2θ (°)	d/Å	intensity
10.17	8.700	25
25.17	3.538	9
30.92	2.892	100
32.70	2.738	37
38.84	2.319	9
46.93	1.936	20
53.83	1.703	21
57.26	1.609	35

Structure:
Cell lengths 3.872, 3.872, 8.700 Å; angles 90.00, 90.00, 90.00 degrees
Atoms (fractional coordinates):
Sm  0.250  0.250  0.139
Sm  0.750  0.750  0.861
Be  0.250  0.750  0.500
Be  0.750  0.250  0.500
As  0.250  0.250  0.653
As  0.750  0.750  0.347
O  0.250  0.750  0.000
O  0.750  0.250  0.000

=====

Structure and simulated XRD peak list of Be2Tc2As3P (a crystal structure in OQMD, relaxed with PBE; Cu Kα (weighted mean of Kα1 and Kα2)).

Most intense lines, 2θ from 5° to 70°, by angle:
2θ (°)	d/Å	intensity
17.78	4.990	72
27.42	3.253	97
32.24	2.776	100
36.11	2.487	40
46.18	1.966	24
48.39	1.881	40
48.61	1.873	44
52.82	1.733	32

Structure:
Cell lengths 5.885, 5.885, 5.064 Å; angles 104.32, 104.32, 58.96 degrees
Atoms (fractional coordinates):
Be  0.127  0.127  0.345
Be  0.873  0.873  0.655
Tc  0.397  0.379  0.078
Tc  0.621  0.603  0.922
As  0.451  0.004  0.706
As  0.722  0.278  0.500
As  0.996  0.549  0.294
P  0.183  0.817  0.000

=====

Structure and simulated XRD peak list of Be2AsP3W2 (a crystal structure in OQMD, relaxed with PBE; Cu Kα (weighted mean of Kα1 and Kα2)).

Most intense lines, 2θ from 5° to 70°, by angle:
2θ (°)	d/Å	intensity
16.46	5.385	58
19.21	4.621	100
21.58	4.118	44
29.24	3.055	48
32.51	2.754	76
33.33	2.688	50
41.81	2.161	29
42.83	2.111	42

Structure:
Cell lengths 5.851, 5.851, 5.798 Å; angles 109.99, 109.99, 45.41 degrees
Atoms (fractional coordinates):
Be  0.119  0.119  0.295
Be  0.881  0.881  0.705
As  0.277  0.723  0.500
P  0.024  0.405  0.662
P  0.595  0.976  0.338
P  0.716  0.284  0.000
W  0.274  0.384  0.087
W  0.616  0.726  0.913

=====

Structure and simulated XRD peak list of Nb4BiAsC2 (a crystal structure in OQMD, relaxed with PBE; Cu Kα (weighted mean of Kα1 and Kα2)).

Most intense lines, 2θ from 5° to 70°, by angle:
2θ (°)	d/Å	intensity
6.85	12.910	16
30.74	2.908	30
33.80	2.652	17
37.32	2.410	100
41.99	2.152	12
52.93	1.730	11
54.66	1.679	25
68.05	1.378	17

Structure:
Cell lengths 3.358, 3.358, 12.910 Å; angles 90.00, 90.00, 120.00 degrees
Atoms (fractional coordinates):
Nb  0.000  0.000  0.143
Nb  0.000  0.000  0.857
Nb  0.667  0.333  0.317
Nb  0.667  0.333  0.683
Bi  0.000  0.000  0.500
As  0.667  0.333  0.000
C  0.333  0.667  0.234
C  0.333  0.667  0.766

=====

Structure and simulated XRD peak list of Zr4BiAsC2 (a crystal structure in OQMD, relaxed with PBE; Cu Kα (weighted mean of Kα1 and Kα2)).

Most intense lines, 2θ from 5° to 70°, by angle:
2θ (°)	d/Å	intensity
6.46	13.684	17
29.77	3.001	29
32.58	2.748	17
35.82	2.507	100
39.51	2.281	12
52.84	1.732	25
65.49	1.425	17
67.95	1.380	15

Structure:
Cell lengths 3.465, 3.465, 13.684 Å; angles 90.00, 90.00, 120.00 degrees
Atoms (fractional coordinates):
Zr  0.000  0.000  0.141
Zr  0.000  0.000  0.859
Zr  0.667  0.333  0.321
Zr  0.667  0.333  0.679
Bi  0.000  0.000  0.500
As  0.667  0.333  0.000
C  0.333  0.667  0.234
C  0.333  0.667  0.766